Simulated powder diffractogram
Compound: NaPrPd10
Radiation: Cu Kα, 1.54184 Å
Structure: DFT lattice parameters and positions (GGA-PBE)

Structural model:
Cell: 4.4784 5.3664 9.2317 Å, 90.00 90.00 90.00°
Fractional coordinates of all 12 atoms:
1 Na 0.0000 0.0000 0.0000
2 Pr 0.0000 0.5000 0.5000
3 Pd 0.0000 0.0000 0.3321
4 Pd 0.0000 0.0000 0.6679
5 Pd 0.0000 0.5000 0.1660
6 Pd 0.0000 0.5000 0.8340
7 Pd 0.5000 0.0000 0.5000
8 Pd 0.5000 0.2514 0.2516
9 Pd 0.5000 0.2514 0.7484
10 Pd 0.5000 0.5000 0.0000
11 Pd 0.5000 0.7486 0.2516
12 Pd 0.5000 0.7486 0.7484

Most intense lines, 10 to 90 degrees two-theta, in order of rising 2θ:
- 2θ 19.16, I = 52
- 2θ 38.82, I = 28
- 2θ 39.14, I = 51
- 2θ 39.29, I = 100
- 2θ 40.28, I = 55
- 2θ 43.96, I = 53
- 2θ 44.14, I = 26
- 2θ 63.66, I = 23
- 2θ 70.56, I = 20
- 2θ 84.51, I = 25

---

Simulated powder diffractogram
Compound: Sm3Ga11
Radiation: Cu Kα, 1.54184 Å
Structure: DFT lattice parameters and positions (GGA-PBE)

Structural model:
Cell: 8.4944 8.4944 8.4944 Å, 151.06 106.70 80.65°
Fractional coordinates of all 14 atoms:
1 Sm 0.0000 0.0000 0.0000
2 Sm 0.3238 0.3238 0.0000
3 Sm 0.6762 0.6762 0.0000
4 Ga 0.0407 0.6652 0.3754
5 Ga 0.1270 0.8550 0.2720
6 Ga 0.2802 0.5000 0.7802
7 Ga 0.2898 0.6652 0.6246
8 Ga 0.4170 0.1450 0.2720
9 Ga 0.5000 0.0000 0.5000
10 Ga 0.5830 0.8550 0.7280
11 Ga 0.7102 0.3348 0.3754
12 Ga 0.7198 0.5000 0.2198
13 Ga 0.8730 0.1450 0.7280
14 Ga 0.9593 0.3348 0.6246

Most intense lines, 10 to 90 degrees two-theta, in order of rising 2θ:
- 2θ 29.51, I = 14
- 2θ 33.67, I = 19
- 2θ 33.90, I = 24
- 2θ 34.51, I = 100
- 2θ 41.85, I = 23
- 2θ 42.60, I = 26
- 2θ 54.90, I = 10
- 2θ 61.25, I = 14
- 2θ 62.98, I = 12
- 2θ 72.77, I = 14